Structure and calculated X-ray diffraction stick pattern of CrNiAsO6 (a cell relaxed with PBE+U; Cu Kα).
Peak positions follow from Bragg's law for the DFT cell and can differ from measured ones.

Structural model:
```
data_CrNiAsO6
_chemical_formula_sum 'Cr2 Ni2 As2 O12'
_symmetry_space_group_name_H-M 'P 1'
_symmetry_Int_Tables_number 1
_cell_length_a 4.4836
_cell_length_b 4.4836
_cell_length_c 8.8649
_cell_angle_alpha 90.00
_cell_angle_beta 90.00
_cell_angle_gamma 90.00
loop_
_symmetry_equiv_pos_as_xyz
'x,y,z'
loop_
_atom_site_label
_atom_site_type_symbol
_atom_site_fract_x
_atom_site_fract_y
_atom_site_fract_z
Cr1 Cr 0.0000 0.0000 0.0000
Cr2 Cr 0.5000 0.5000 0.5000
Ni1 Ni 0.0000 0.0000 0.6684
Ni2 Ni 0.5000 0.5000 0.1684
As1 As 0.0000 0.0000 0.3344
As2 As 0.5000 0.5000 0.8344
O1 O 0.1865 0.1865 0.1722
O2 O 0.1973 0.1973 0.4912
O3 O 0.2080 0.2080 0.8393
O4 O 0.2920 0.7080 0.3393
O5 O 0.3027 0.6973 0.9912
O6 O 0.3135 0.6865 0.6722
O7 O 0.6865 0.3135 0.6722
O8 O 0.6973 0.3027 0.9912
O9 O 0.7080 0.2920 0.3393
O10 O 0.7920 0.7920 0.8393
O11 O 0.8027 0.8027 0.4912
O12 O 0.8135 0.8135 0.1722
```

Main lines, low angle first (10° ≤ 2θ ≤ 90°):
| index | d (Å) | I/Imax |
| --- | --- | --- |
| 1 1 0 | 3.170 | 100 |
| 1 0 3 | 2.467 | 62 |
| 2 0 0 | 2.242 | 13 |
| 1 1 3 | 2.162 | 11 |
| 2 1 3 | 1.659 | 61 |
| 2 2 0 | 1.585 | 17 |
| 0 0 6 | 1.477 | 8 |
| 3 1 0 | 1.418 | 11 |
| 1 1 6 | 1.339 | 12 |
| 3 0 3 | 1.334 | 20 |
| 2 0 6 | 1.234 | 4 |
| 3 2 3 | 1.146 | 8 |